Record 1
The following is a computed X-ray powder pattern of K2ZnAs2Pb. It was derived from a DFT-relaxed cell (GGA-PBE, Alexandria), using Cu Kα.
Kinematic intensities with the Lorentz-polarization factor, no thermal factor.

Structural model:
```
K2ZnAs2Pb
1.0
-3.4524 7.6790 3.4031
3.4524 -7.6790 3.4031
3.4524 7.6790 -3.4031
K Zn As Pb
4 2 4 2
Cartesian
1.6921 2.6969 0.0000
1.6921 -2.6969 3.4031
1.7604 10.3759 0.0000
1.7604 4.9821 3.4031
0.0000 0.0000 1.7016
0.0000 0.0000 5.1047
5.5005 1.5123 0.0000
2.0480 6.1667 0.0000
1.4044 1.5123 3.4031
-2.0480 6.1667 3.4031
3.4524 0.0000 1.7016
0.0000 7.6790 1.7016
```

Main lines, most intense first (2θ from 5° to 70°):
2θ/deg  d (Å)  Rel. int.
11.52  7.679  100
37.09  2.424  39
35.24  2.547  34
34.95  2.567  32
28.34  3.149  27
28.69  3.111  25
38.97  2.311  22
21.63  4.108  21

***

Record 2
The following is a computed X-ray powder pattern of K3AsPd2. It was derived from a DFT-relaxed cell (GGA-PBE, Alexandria), using Cu Kα.
Kinematic intensities with the Lorentz-polarization factor, no thermal factor.

Structural model:
```
K3AsPd2
1.0
6.5394 0.0000 0.0000
0.0000 11.9132 0.0000
-4.7507 0.0000 9.7752
K As Pd
12 4 8
Cartesian
-0.4879 1.7628 1.1073
-2.8632 4.1938 5.9949
0.1701 1.9904 4.6347
-2.2052 3.9662 9.5223
-1.0310 0.4183 7.6782
1.3443 5.5383 2.7906
0.4444 6.3749 6.9846
2.8197 11.4948 2.0970
3.9939 7.9469 0.2529
1.6186 9.9228 5.1404
4.6519 7.7193 3.7803
2.2766 10.1504 8.6679
-2.8209 7.3470 7.2614
-0.4456 10.5227 2.3738
2.2342 1.3904 7.4014
4.6096 4.5661 2.5138
-3.9386 6.9101 9.3469
-1.5633 10.9597 4.4593
0.7220 8.5805 1.6516
-1.6533 9.2893 6.5392
3.4420 2.6239 3.2359
1.0667 3.3327 8.1235
3.3519 0.9535 5.3159
5.7273 5.0031 0.4283
```

Main lines, most intense first (2θ from 5° to 70°):
2θ/deg  d (Å)  Rel. int.
11.71  7.557  100
16.81  5.274  97
15.06  5.882  67
28.76  3.105  58
31.44  2.845  58
42.89  2.108  41
32.20  2.780  38
31.32  2.856  36

***

Record 3
The following is a computed X-ray powder pattern of KAs2Pd4. It was derived from a DFT-relaxed cell (GGA-PBE, Alexandria), using Cu Kα.
Kinematic intensities with the Lorentz-polarization factor, no thermal factor.

Structural model:
```
KAs2Pd4
1.0
8.1564 0.0000 0.0000
0.0000 8.1564 0.0000
0.0000 0.0000 3.8650
K As Pd
2 4 8
Cartesian
0.0000 0.0000 0.0000
4.0782 4.0782 1.9325
1.8364 1.8364 1.9325
2.2418 5.9146 0.0000
5.9146 2.2418 0.0000
6.3200 6.3200 1.9325
0.6676 5.4243 1.9325
1.3462 3.4106 0.0000
2.7320 7.4888 1.9325
3.4106 1.3462 0.0000
4.7458 6.8102 0.0000
5.4243 0.6676 1.9325
6.8102 4.7458 0.0000
7.4888 2.7320 1.9325
```

Main lines, most intense first (2θ from 5° to 70°):
2θ/deg  d (Å)  Rel. int.
42.12  2.145  100
33.79  2.653  78
38.97  2.311  68
15.36  5.767  65
45.87  1.978  43
34.78  2.579  37
47.02  1.932  33
67.79  1.382  26

***

Record 4
The following is a computed X-ray powder pattern of K2RbAs2Pd. It was derived from a DFT-relaxed cell (GGA-PBE, Alexandria), using Cu Kα.
Kinematic intensities with the Lorentz-polarization factor, no thermal factor.

Structural model:
```
K2RbAs2Pd
1.0
-4.3953 6.4620 3.7195
4.3953 -6.4620 3.7195
4.3953 6.4620 -3.7195
K Rb As Pd
4 2 4 2
Cartesian
1.3272 2.5647 0.0000
5.7224 3.8972 0.0000
-1.3272 2.5647 3.7195
3.0681 3.8972 3.7195
4.3953 0.0000 1.8597
0.0000 6.4620 1.8597
7.2299 0.7201 0.0000
2.8346 5.7419 0.0000
1.5606 0.7201 3.7195
-2.8346 5.7419 3.7195
0.0000 0.0000 1.8597
0.0000 0.0000 5.5792
```

Main lines, most intense first (2θ from 5° to 70°):
2θ/deg  d (Å)  Rel. int.
13.70  6.462  100
31.50  2.840  65
34.49  2.600  53
12.18  7.269  45
31.87  2.808  35
27.63  3.228  32
42.37  2.133  25
24.50  3.634  20

***

Record 5
The following is a computed X-ray powder pattern of KSbAsPd2. It was derived from a DFT-relaxed cell (GGA-PBE, Alexandria), using Cu Kα.
Kinematic intensities with the Lorentz-polarization factor, no thermal factor.

Structural model:
```
KSbAsPd2
1.0
5.5069 0.0000 0.0000
0.0000 4.5912 0.0000
-1.5804 0.0000 9.9867
K Sb As Pd
2 2 2 4
Cartesian
0.5582 1.1478 4.1442
3.3683 3.4434 5.8425
0.6202 3.4434 0.9785
3.3063 1.1478 9.0082
0.6291 3.4434 7.5053
3.2973 1.1478 2.4814
-0.0395 1.1478 7.5067
1.9793 1.1478 0.3754
1.9472 3.4434 9.6113
3.9659 3.4434 2.4800
```

Main lines, most intense first (2θ from 5° to 70°):
2θ/deg  d (Å)  Rel. int.
8.85  9.987  100
33.69  2.660  29
40.31  2.238  23
39.25  2.296  21
29.18  3.060  18
52.67  1.738  16
38.31  2.349  15
27.79  3.210  13

***

Record 6
The following is a computed X-ray powder pattern of K2As4Pt5. It was derived from a DFT-relaxed cell (GGA-PBE, Alexandria), using Cu Kα.
Kinematic intensities with the Lorentz-polarization factor, no thermal factor.

Structural model:
```
K2As4Pt5
1.0
0.0000 6.1681 6.2327
3.2754 0.0000 6.2327
3.2754 6.1681 0.0000
K As Pt
2 4 5
Cartesian
3.2754 1.7170 6.2327
3.2754 10.6192 6.2327
3.2754 4.6098 4.2704
3.2754 7.7264 4.2704
3.2754 4.6098 8.1950
3.2754 7.7264 8.1950
1.6377 0.0000 3.1164
1.6377 3.0841 3.1164
1.6377 6.1681 3.1164
3.2754 6.1681 6.2327
4.9131 9.2522 9.3491
```

Main lines, most intense first (2θ from 5° to 70°):
2θ/deg  d (Å)  Rel. int.
14.21  6.233  100
30.84  2.899  74
42.81  2.112  72
16.89  5.248  48
41.18  2.192  47
40.16  2.245  39
28.64  3.116  35
52.13  1.754  35

***

Record 7
The following is a computed X-ray powder pattern of K2As2Pt. It was derived from a DFT-relaxed cell (GGA-PBE, Alexandria), using Cu Kα.
Kinematic intensities with the Lorentz-polarization factor, no thermal factor.

Structural model:
```
K2As2Pt
1.0
6.0228 -2.3020 0.0000
6.0228 2.3020 0.0000
-4.7603 0.0000 9.9736
K As Pt
4 4 2
Cartesian
-0.2631 0.0000 1.7321
-0.6122 0.0000 5.9901
7.8974 0.0000 3.9835
7.5484 0.0000 8.2415
-1.1885 0.0000 9.1302
3.0100 0.0000 6.0850
4.2753 0.0000 3.8886
8.4738 0.0000 0.8434
3.2365 0.0000 1.6381
4.0488 0.0000 8.3356
```

Main lines, most intense first (2θ from 5° to 70°):
2θ/deg  d (Å)  Rel. int.
14.83  5.975  100
29.57  3.021  46
8.87  9.974  35
39.13  2.302  24
20.95  4.239  20
37.00  2.430  18
29.89  2.989  17
48.63  1.872  16

***

Record 8
The following is a computed X-ray powder pattern of K2As2Pt. It was derived from a DFT-relaxed cell (GGA-PBE, Alexandria), using Cu Kα.
Kinematic intensities with the Lorentz-polarization factor, no thermal factor.

Structural model:
```
K2As2Pt
1.0
3.2425 -7.2083 0.0000
3.2425 7.2083 0.0000
0.0000 0.0000 6.2034
K As Pt
4 4 2
Cartesian
3.2425 6.0682 4.6525
3.2425 2.9377 1.5508
3.2425 -2.9377 4.6525
3.2425 -6.0682 1.5508
2.0121 1.5866 4.6525
2.0121 -1.5866 1.5508
4.4729 1.5866 4.6525
4.4729 -1.5866 1.5508
3.2425 0.0000 0.0000
3.2425 0.0000 3.1017
```

Main lines, most intense first (2θ from 5° to 70°):
2θ/deg  d (Å)  Rel. int.
14.98  5.914  100
12.28  7.208  75
37.18  2.418  32
38.28  2.351  26
37.30  2.411  21
32.60  2.747  21
51.95  1.760  20
33.57  2.669  18